Calculated XRD peak list of FeO2 for Cu Kα, 1.54184 Å, from a structure optimized by DFT (PBE+U).
Neutral-atom scattering factors, no anomalous dispersion.

The 6 most intense peaks (10 to 80 degrees two-theta), in order of falling intensity:
2theta	I_rel	hkl
16.9	100	0 0 2
39.7	33	1 0 2
50.3	27	1 0 4
35.7	15	1 0 0
65.0	13	1 0 6
66.8	11	1 1 2

Structure:
```
FeO2
1.0
2.908 0.000 0.000
-1.454 2.518 0.000
0.000 0.000 10.477
Fe O
2 4
Direct
0.000 0.000 0.000
0.000 0.000 0.500
0.333 0.667 0.091
0.333 0.667 0.409
0.667 0.333 0.591
0.667 0.333 0.909
```